No. 1
The following is a theoretical X-ray powder pattern of SrTiNbSnO6. It was derived from DFT lattice parameters and positions (GGA-PBE), using Cu Kα X-rays.
Lines closer than 0.1° are merged.

abc: 5.687 5.687 5.687
angles: 60.00 60.00 60.00
Atoms (fractional coordinates):
Sr 0.000 0.000 0.000
Ti 0.750 0.750 0.750
Nb 0.250 0.250 0.250
Sn 0.500 0.500 0.500
O 0.503 0.503 0.997
O 0.503 0.997 0.503
O 0.503 0.997 0.997
O 0.997 0.503 0.503
O 0.997 0.503 0.997
O 0.997 0.997 0.503

Principal peaks in the range 5° ≤ 2θ ≤ 70°, most intense first:
d/Å  I_rel
2.843  100
1.642  40
2.011  35
1.422  21
2.322  10
4.643  7

---

No. 2
The following is a theoretical X-ray powder pattern of SrNb6O16. It was derived from DFT lattice parameters and positions (GGA-PBE), using Cu Kα X-rays.
Lines closer than 0.1° are merged.

abc: 3.915 9.179 9.179
angles: 70.10 90.00 90.00
Atoms (fractional coordinates):
Sr 0.000 0.000 0.000
Nb 0.500 0.018 0.657
Nb 0.500 0.192 0.192
Nb 0.500 0.396 0.771
Nb 0.500 0.405 0.405
Nb 0.500 0.657 0.018
Nb 0.500 0.771 0.396
O 0.000 0.032 0.691
O 0.000 0.174 0.174
O 0.000 0.395 0.395
O 0.000 0.404 0.772
O 0.000 0.691 0.032
O 0.000 0.772 0.404
O 0.500 0.163 0.412
O 0.500 0.211 0.955
O 0.500 0.253 0.637
O 0.500 0.412 0.163
O 0.500 0.541 0.541
O 0.500 0.566 0.864
O 0.500 0.637 0.253
O 0.500 0.864 0.566
O 0.500 0.887 0.887
O 0.500 0.955 0.211

Principal peaks in the range 5° ≤ 2θ ≤ 70°, most intense first:
d/Å  I_rel
3.915  100
3.422  90
3.060  59
1.958  43
2.892  39
2.576  37

---

No. 3
The following is a theoretical X-ray powder pattern of SrNb4O14. It was derived from DFT lattice parameters and positions (GGA-PBE), using Cu Kα X-rays.
Lines closer than 0.1° are merged.

abc: 7.577 7.577 7.577
angles: 59.64 59.64 59.64
Atoms (fractional coordinates):
Sr 0.000 0.000 0.000
Nb 0.000 0.500 0.500
Nb 0.500 0.000 0.500
Nb 0.500 0.500 0.000
Nb 0.500 0.500 0.500
O 0.150 0.150 0.150
O 0.186 0.186 0.574
O 0.186 0.574 0.186
O 0.190 0.560 0.560
O 0.426 0.814 0.814
O 0.440 0.440 0.810
O 0.440 0.810 0.440
O 0.560 0.190 0.560
O 0.560 0.560 0.190
O 0.574 0.186 0.186
O 0.810 0.440 0.440
O 0.814 0.426 0.814
O 0.814 0.814 0.426
O 0.850 0.850 0.850

Principal peaks in the range 5° ≤ 2θ ≤ 70°, most intense first:
d/Å  I_rel
3.079  100
6.204  84
3.216  74
6.159  52
3.102  41
1.884  36

---

No. 4
The following is a theoretical X-ray powder pattern of Sr6NbO8. It was derived from DFT lattice parameters and positions (GGA-PBE), using Cu Kα X-rays.
Lines closer than 0.1° are merged.

abc: 7.200 7.200 7.200
angles: 60.00 60.00 60.00
Atoms (fractional coordinates):
Sr 0.000 0.000 0.500
Sr 0.000 0.500 0.000
Sr 0.000 0.500 0.500
Sr 0.500 0.000 0.000
Sr 0.500 0.000 0.500
Sr 0.500 0.500 0.000
Nb 0.000 0.000 0.000
O 0.209 0.209 0.791
O 0.209 0.791 0.209
O 0.209 0.791 0.791
O 0.250 0.250 0.250
O 0.750 0.750 0.750
O 0.791 0.209 0.209
O 0.791 0.209 0.791
O 0.791 0.791 0.209

Principal peaks in the range 5° ≤ 2θ ≤ 70°, most intense first:
d/Å  I_rel
2.546  100
2.939  90
1.800  64
1.535  46
5.879  31
1.470  21

---

No. 5
The following is a theoretical X-ray powder pattern of Sr2Nb3O8. It was derived from DFT lattice parameters and positions (GGA-PBE), using Cu Kα X-rays.
Lines closer than 0.1° are merged.

abc: 4.040 4.040 11.337
angles: 90.00 90.00 90.00
Atoms (fractional coordinates):
Sr 0.000 0.000 0.195
Sr 0.000 0.000 0.805
Nb 0.500 0.500 0.000
Nb 0.500 0.500 0.365
Nb 0.500 0.500 0.635
O 0.000 0.500 0.000
O 0.000 0.500 0.356
O 0.000 0.500 0.644
O 0.500 0.000 0.000
O 0.500 0.000 0.356
O 0.500 0.000 0.644
O 0.500 0.500 0.178
O 0.500 0.500 0.822

Principal peaks in the range 5° ≤ 2θ ≤ 70°, most intense first:
d/Å  I_rel
2.760  100
2.857  62
2.020  49
1.630  41
3.290  40
1.776  22

---

No. 6
The following is a theoretical X-ray powder pattern of Sr5Nb4O15. It was derived from DFT lattice parameters and positions (GGA-PBE), using Cu Kα X-rays.
Lines closer than 0.1° are merged.

abc: 5.741 5.741 11.668
angles: 90.10 90.10 59.98
Atoms (fractional coordinates):
Sr 0.000 0.000 0.000
Sr 0.333 0.333 0.439
Sr 0.333 0.333 0.780
Sr 0.667 0.667 0.220
Sr 0.667 0.667 0.561
Nb 0.000 0.000 0.321
Nb 0.000 0.000 0.679
Nb 0.334 0.334 0.106
Nb 0.666 0.666 0.894
O 0.000 0.500 0.000
O 0.166 0.166 0.194
O 0.166 0.671 0.194
O 0.169 0.169 0.608
O 0.169 0.661 0.608
O 0.329 0.834 0.806
O 0.339 0.831 0.392
O 0.500 0.000 0.000
O 0.500 0.500 0.000
O 0.661 0.169 0.608
O 0.671 0.166 0.194
O 0.831 0.339 0.392
O 0.831 0.831 0.392
O 0.834 0.329 0.806
O 0.834 0.834 0.806

Principal peaks in the range 5° ≤ 2θ ≤ 70°, most intense first:
d/Å  I_rel
3.063  100
2.870  82
2.094  60
1.692  36
1.811  24
1.435  18

---

No. 7
The following is a theoretical X-ray powder pattern of Sr6Nb2O11. It was derived from DFT lattice parameters and positions (GGA-PBE), using Cu Kα X-rays.
Lines closer than 0.1° are merged.

abc: 6.027 6.030 19.453
angles: 81.73 82.44 60.20
Atoms (fractional coordinates):
Sr 0.000 0.000 0.000
Sr 0.028 0.081 0.816
Sr 0.179 0.260 0.403
Sr 0.226 0.360 0.220
Sr 0.307 0.316 0.031
Sr 0.391 0.440 0.689
Sr 0.474 0.588 0.501
Sr 0.525 0.635 0.318
Sr 0.664 0.718 0.902
Sr 0.693 0.795 0.719
Sr 0.831 0.888 0.530
Sr 0.873 0.045 0.189
Nb 0.028 0.245 0.610
Nb 0.342 0.399 0.860
Nb 0.674 0.680 0.110
Nb 0.849 0.957 0.360
O 0.007 0.681 0.110
O 0.054 0.517 0.795
O 0.086 0.068 0.296
O 0.093 0.670 0.925
O 0.149 0.700 0.417
O 0.161 0.062 0.529
O 0.184 0.477 0.582
O 0.217 0.106 0.691
O 0.235 0.150 0.913
O 0.442 0.649 0.803
O 0.485 0.805 0.029
O 0.518 0.042 0.138
O 0.541 0.555 0.191
O 0.542 0.204 0.306
O 0.595 0.120 0.799
O 0.622 0.845 0.423
O 0.626 0.294 0.926
O 0.697 0.578 0.610
O 0.755 0.241 0.422
O 0.797 0.089 0.637
O 0.903 0.319 0.082
O 0.924 0.691 0.294

Principal peaks in the range 5° ≤ 2θ ≤ 70°, most intense first:
d/Å  I_rel
3.019  100
3.013  51
2.966  43
2.994  41
2.936  38
2.095  20

---

No. 8
The following is a theoretical X-ray powder pattern of Sr2Nb5O9. It was derived from DFT lattice parameters and positions (GGA-PBE), using Cu Kα X-rays.
Lines closer than 0.1° are merged.

abc: 4.199 4.199 12.183
angles: 90.00 90.00 90.00
Atoms (fractional coordinates):
Sr 0.000 0.000 0.169
Sr 0.000 0.000 0.831
Nb 0.000 0.500 0.500
Nb 0.500 0.000 0.500
Nb 0.500 0.500 0.000
Nb 0.500 0.500 0.335
Nb 0.500 0.500 0.665
O 0.000 0.000 0.500
O 0.000 0.500 0.000
O 0.000 0.500 0.323
O 0.000 0.500 0.677
O 0.500 0.000 0.000
O 0.500 0.000 0.323
O 0.500 0.000 0.677
O 0.500 0.500 0.162
O 0.500 0.500 0.838

Principal peaks in the range 5° ≤ 2θ ≤ 70°, most intense first:
d/Å  I_rel
2.919  100
2.100  61
1.704  40
2.885  36
12.183  36
1.460  34